Pr2SmHo4: simulated powder XRD pattern (Cu Kα (λ = 1.5418 Å)), based on a cell relaxed with PBE.
Lines closer than 0.1° are merged.

Most intense lines, 2θ from 10° to 90°, in order of rising 2θ:
2θ 30.45, rel. 33
2θ 30.48, rel. 100
2θ 35.33, rel. 68
2θ 50.83, rel. 48
2θ 60.41, rel. 38
2θ 60.48, rel. 19
2θ 63.42, rel. 17
2θ 82.77, rel. 10
2θ 82.81, rel. 10
2θ 85.48, rel. 11

Cell and atoms:
abc: 7.1870 8.0315 8.7941
angles: 111.32 90.10 102.92
Element x y z (fractional)
Pr 0.0000 0.0000 0.0000
Pr 0.0723 0.2862 0.4301
Pr 0.3602 0.4364 0.1445
Pr 0.4996 0.9991 0.0008
Sm 0.7851 0.1466 0.7154
Sm 0.9285 0.7169 0.5721
Ho 0.1427 0.5721 0.8564
Ho 0.2157 0.8594 0.2891
Ho 0.2875 0.1451 0.7136
Ho 0.4302 0.7175 0.5728
Ho 0.5720 0.2885 0.4308
Ho 0.6427 0.5707 0.8550
Ho 0.7144 0.8585 0.2885
Ho 0.8580 0.4347 0.1450

Pr2Sm6Ho: simulated powder XRD pattern (Cu Kα (λ = 1.5418 Å)), based on a cell relaxed with PBE.
Lines closer than 0.1° are merged.

Most intense lines, 2θ from 10° to 90°, in order of rising 2θ:
2θ 30.91, rel. 91
2θ 31.17, rel. 100
2θ 40.39, rel. 11
2θ 44.47, rel. 33
2θ 51.37, rel. 8
2θ 55.27, rel. 23
2θ 55.40, rel. 25
2θ 61.32, rel. 29
2θ 65.08, rel. 8
2θ 78.93, rel. 9

Cell and atoms:
abc: 9.9485 9.9485 3.5574
angles: 90.00 90.00 120.19
Element x y z (fractional)
Pr 0.1668 0.8332 0.0000
Pr 0.8332 0.1668 0.0000
Sm 0.1694 0.1694 0.5000
Sm 0.1691 0.4994 0.5000
Sm 0.4994 0.1691 0.5000
Sm 0.5006 0.8309 0.5000
Sm 0.8309 0.5006 0.5000
Sm 0.8306 0.8306 0.5000
Ho 0.5000 0.5000 0.0000